Entry 1:
Structure and theoretical X-ray diffraction stick pattern of Gd3Al2Ni6H9 (a PBE-relaxed structure; Cu Kα (weighted mean of Kα1 and Kα2)).
Peak positions follow from Bragg's law for the DFT cell and can differ from measured ones.

Principal peaks in the range 2θ = 5–70°, low angle first:
2θ/deg	d_spacing	I/Imax
30.58	2.924	284
33.58	2.669	413
36.36	2.471	460
38.97	2.311	251
41.44	2.179	1000
67.16	1.394	272

Atomic structure:
Unit cell a=8.0064 b=8.0064 c=8.0064 alpha=109.47 beta=109.47 gamma=109.47
Fractional coordinates of all 40 atoms:
Gd 0.0000 0.2706 0.2706
Gd 0.0000 0.7294 0.7294
Gd 0.2706 0.0000 0.2706
Gd 0.2706 0.2706 0.0000
Gd 0.7294 0.0000 0.7294
Gd 0.7294 0.7294 0.0000
Al 0.0000 0.0000 0.5000
Al 0.0000 0.5000 0.0000
Al 0.5000 0.0000 0.0000
Al 0.5000 0.5000 0.5000
Ni 0.0000 0.3385 0.6615
Ni 0.0000 0.6615 0.3385
Ni 0.3230 0.6615 0.6615
Ni 0.3385 0.0000 0.6615
Ni 0.3385 0.3385 0.6770
Ni 0.3385 0.6615 0.0000
Ni 0.3385 0.6770 0.3385
Ni 0.6615 0.0000 0.3385
Ni 0.6615 0.3230 0.6615
Ni 0.6615 0.3385 0.0000
Ni 0.6615 0.6615 0.3230
Ni 0.6770 0.3385 0.3385
H 0.0000 0.0000 0.0000
H 0.0000 0.0000 0.2675
H 0.0000 0.0000 0.7325
H 0.0000 0.2675 0.0000
H 0.0000 0.5000 0.5000
H 0.0000 0.7325 0.0000
H 0.2500 0.5000 0.7500
H 0.2500 0.7500 0.5000
H 0.2675 0.0000 0.0000
H 0.2675 0.2675 0.2675
H 0.5000 0.0000 0.5000
H 0.5000 0.2500 0.7500
H 0.5000 0.5000 0.0000
H 0.5000 0.7500 0.2500
H 0.7325 0.0000 0.0000
H 0.7325 0.7325 0.7325
H 0.7500 0.2500 0.5000
H 0.7500 0.5000 0.2500

---

Entry 2:
Structure and theoretical X-ray diffraction stick pattern of GdHoAl6 (a PBE-relaxed structure; Cu Kα (weighted mean of Kα1 and Kα2)).
Peak positions follow from Bragg's law for the DFT cell and can differ from measured ones.

Principal peaks in the range 2θ = 5–70°, low angle first:
2θ/deg	d_spacing	I/Imax
19.13	4.639	457
24.99	3.563	1000
29.23	3.056	545
35.17	2.552	383
37.32	2.410	310
38.82	2.320	936

Atomic structure:
Unit cell a=6.1113 b=6.1113 c=9.6389 alpha=90.00 beta=90.00 gamma=120.00
Fractional coordinates of all 16 atoms:
Gd 0.3333 0.6667 0.2500
Gd 0.6667 0.3333 0.7500
Ho 0.0000 0.0000 0.0000
Ho 0.0000 0.0000 0.5000
Al 0.0000 0.5000 0.0000
Al 0.0000 0.5000 0.5000
Al 0.1846 0.3692 0.7500
Al 0.1846 0.8154 0.7500
Al 0.3692 0.1846 0.2500
Al 0.5000 0.0000 0.0000
Al 0.5000 0.0000 0.5000
Al 0.5000 0.5000 0.0000
Al 0.5000 0.5000 0.5000
Al 0.6308 0.8154 0.7500
Al 0.8154 0.1846 0.2500
Al 0.8154 0.6308 0.2500

---

Entry 3:
Structure and theoretical X-ray diffraction stick pattern of GdHoAl6 (a PBE-relaxed structure; Cu Kα (weighted mean of Kα1 and Kα2)).
Peak positions follow from Bragg's law for the DFT cell and can differ from measured ones.

Principal peaks in the range 2θ = 5–70°, low angle first:
2θ/deg	d_spacing	I/Imax
16.31	5.436	269
25.38	3.509	1000
28.44	3.138	476
32.96	2.718	246
38.48	2.339	970
48.54	1.876	262

Atomic structure:
Unit cell a=6.2767 b=6.2767 c=4.5946 alpha=90.00 beta=90.00 gamma=120.00
Fractional coordinates of all 8 atoms:
Gd 0.0000 0.0000 0.0000
Ho 0.6667 0.3333 0.5000
Al 0.0389 0.5194 0.0000
Al 0.1865 0.3729 0.5000
Al 0.1865 0.8135 0.5000
Al 0.4806 0.5194 0.0000
Al 0.4806 0.9611 0.0000
Al 0.6271 0.8135 0.5000

---

Entry 4:
Structure and theoretical X-ray diffraction stick pattern of LaGdAl4 (a PBE-relaxed structure; Cu Kα (weighted mean of Kα1 and Kα2)).
Peak positions follow from Bragg's law for the DFT cell and can differ from measured ones.

Principal peaks in the range 2θ = 5–70°, low angle first:
2θ/deg	d_spacing	I/Imax
19.17	4.630	585
31.55	2.835	975
37.18	2.418	1000
56.19	1.637	379
59.94	1.543	329
65.89	1.418	218

Atomic structure:
Unit cell a=5.6706 b=5.6706 c=5.6706 alpha=60.00 beta=60.00 gamma=60.00
Fractional coordinates of all 6 atoms:
La 0.0000 0.0000 0.0000
Gd 0.7500 0.7500 0.7500
Al 0.3751 0.3751 0.3751
Al 0.3751 0.3751 0.8747
Al 0.3751 0.8747 0.3751
Al 0.8747 0.3751 0.3751

---

Number 4 is which compound?
LaGdAl4

---

Please write out number 1 again, unchanged.
Structure and theoretical X-ray diffraction stick pattern of Gd3Al2Ni6H9 (a PBE-relaxed structure; Cu Kα (weighted mean of Kα1 and Kα2)).
Peak positions follow from Bragg's law for the DFT cell and can differ from measured ones.

Principal peaks in the range 2θ = 5–70°, low angle first:
2θ/deg	d_spacing	I/Imax
30.58	2.924	284
33.58	2.669	413
36.36	2.471	460
38.97	2.311	251
41.44	2.179	1000
67.16	1.394	272

Atomic structure:
Unit cell a=8.0064 b=8.0064 c=8.0064 alpha=109.47 beta=109.47 gamma=109.47
Fractional coordinates of all 40 atoms:
Gd 0.0000 0.2706 0.2706
Gd 0.0000 0.7294 0.7294
Gd 0.2706 0.0000 0.2706
Gd 0.2706 0.2706 0.0000
Gd 0.7294 0.0000 0.7294
Gd 0.7294 0.7294 0.0000
Al 0.0000 0.0000 0.5000
Al 0.0000 0.5000 0.0000
Al 0.5000 0.0000 0.0000
Al 0.5000 0.5000 0.5000
Ni 0.0000 0.3385 0.6615
Ni 0.0000 0.6615 0.3385
Ni 0.3230 0.6615 0.6615
Ni 0.3385 0.0000 0.6615
Ni 0.3385 0.3385 0.6770
Ni 0.3385 0.6615 0.0000
Ni 0.3385 0.6770 0.3385
Ni 0.6615 0.0000 0.3385
Ni 0.6615 0.3230 0.6615
Ni 0.6615 0.3385 0.0000
Ni 0.6615 0.6615 0.3230
Ni 0.6770 0.3385 0.3385
H 0.0000 0.0000 0.0000
H 0.0000 0.0000 0.2675
H 0.0000 0.0000 0.7325
H 0.0000 0.2675 0.0000
H 0.0000 0.5000 0.5000
H 0.0000 0.7325 0.0000
H 0.2500 0.5000 0.7500
H 0.2500 0.7500 0.5000
H 0.2675 0.0000 0.0000
H 0.2675 0.2675 0.2675
H 0.5000 0.0000 0.5000
H 0.5000 0.2500 0.7500
H 0.5000 0.5000 0.0000
H 0.5000 0.7500 0.2500
H 0.7325 0.0000 0.0000
H 0.7325 0.7325 0.7325
H 0.7500 0.2500 0.5000
H 0.7500 0.5000 0.2500

---

Please write out number 1 again, unchanged.
Structure and theoretical X-ray diffraction stick pattern of Gd3Al2Ni6H9 (a PBE-relaxed structure; Cu Kα (weighted mean of Kα1 and Kα2)).
Peak positions follow from Bragg's law for the DFT cell and can differ from measured ones.

Principal peaks in the range 2θ = 5–70°, low angle first:
2θ/deg	d_spacing	I/Imax
30.58	2.924	284
33.58	2.669	413
36.36	2.471	460
38.97	2.311	251
41.44	2.179	1000
67.16	1.394	272

Atomic structure:
Unit cell a=8.0064 b=8.0064 c=8.0064 alpha=109.47 beta=109.47 gamma=109.47
Fractional coordinates of all 40 atoms:
Gd 0.0000 0.2706 0.2706
Gd 0.0000 0.7294 0.7294
Gd 0.2706 0.0000 0.2706
Gd 0.2706 0.2706 0.0000
Gd 0.7294 0.0000 0.7294
Gd 0.7294 0.7294 0.0000
Al 0.0000 0.0000 0.5000
Al 0.0000 0.5000 0.0000
Al 0.5000 0.0000 0.0000
Al 0.5000 0.5000 0.5000
Ni 0.0000 0.3385 0.6615
Ni 0.0000 0.6615 0.3385
Ni 0.3230 0.6615 0.6615
Ni 0.3385 0.0000 0.6615
Ni 0.3385 0.3385 0.6770
Ni 0.3385 0.6615 0.0000
Ni 0.3385 0.6770 0.3385
Ni 0.6615 0.0000 0.3385
Ni 0.6615 0.3230 0.6615
Ni 0.6615 0.3385 0.0000
Ni 0.6615 0.6615 0.3230
Ni 0.6770 0.3385 0.3385
H 0.0000 0.0000 0.0000
H 0.0000 0.0000 0.2675
H 0.0000 0.0000 0.7325
H 0.0000 0.2675 0.0000
H 0.0000 0.5000 0.5000
H 0.0000 0.7325 0.0000
H 0.2500 0.5000 0.7500
H 0.2500 0.7500 0.5000
H 0.2675 0.0000 0.0000
H 0.2675 0.2675 0.2675
H 0.5000 0.0000 0.5000
H 0.5000 0.2500 0.7500
H 0.5000 0.5000 0.0000
H 0.5000 0.7500 0.2500
H 0.7325 0.0000 0.0000
H 0.7325 0.7325 0.7325
H 0.7500 0.2500 0.5000
H 0.7500 0.5000 0.2500